[1]
Diffraction record for Ba3SrNb2O9. The X-ray powder pattern is simulated, not measured: it uses the PBE geometry in the Materials Project and Cu Kα (weighted mean of Kα1 and Kα2).
Neutral-atom scattering factors, no anomalous dispersion.

Top 10 peaks for 10 to 80 degrees two-theta, by angle:
2θ/deg, I (rel.), hkl
10.98, 18, 0 0 2
27.85, 89, 1 0 4
29.28, 100, 1 1 0
40.85, 53, 2 0 4
45.00, 14, 0 0 8
51.05, 32, 2 1 4
51.92, 20, 3 0 0
54.61, 19, 1 1 8
60.73, 20, 2 2 0
68.09, 15, 3 1 4

Structural model:
a = 6.1004 Å, b = 6.1004 Å, c = 16.1107 Å
α = 90.00°, β = 90.00°, γ = 120.00°
Space group P6_3/mmc (No. 194)
One atom of each set of equivalent atoms:
Ba 0.0000 0.0000 0.2500 x2
Ba 0.3333 0.6667 0.1271 x4
Sr 0.0000 0.0000 0.0000 x2
Nb 0.3333 0.6667 0.6558 x4
O 0.0318 0.5159 0.7500 x6
O 0.1724 0.3447 0.6023 x12

[2]
Diffraction record for Ta2CoRe2Se8. The X-ray powder pattern is simulated, not measured: it uses the PBE geometry in the Materials Project and Cu Kα (weighted mean of Kα1 and Kα2).
Neutral-atom scattering factors, no anomalous dispersion.

Top 10 peaks for 10 to 80 degrees two-theta, by angle:
2θ/deg, I (rel.), hkl
14.17, 77, 0 0 4
29.64, 23, 1 0 0
30.51, 29, 1 0 2
33.00, 73, 1 0 4
36.80, 21, 0 1 6
41.63, 100, 1 0 8
52.60, 43, 1 1 0
53.46, 15, 0 1 12
54.76, 15, 1 1 4
69.21, 22, 0 2 8

Structural model:
a = 3.4801 Å, b = 3.4801 Å, c = 25.0030 Å
α = 90.00°, β = 90.00°, γ = 120.00°
Space group P3m1 (No. 156)
One atom of each set of equivalent atoms:
Ta 0.0000 0.0000 0.0000 x1
Ta 0.0000 0.0000 0.4961 x1
Co 0.0000 0.0000 0.1266 x1
Re 0.0000 0.0000 0.2424 x1
Re 0.0000 0.0000 0.7462 x1
Se 0.3333 0.6667 0.0677 x1
Se 0.3333 0.6667 0.4294 x1
Se 0.3333 0.6667 0.5627 x1
Se 0.3333 0.6667 0.9334 x1
Se 0.6667 0.3333 0.1768 x1
Se 0.6667 0.3333 0.3034 x1
Se 0.6667 0.3333 0.6841 x1
Se 0.6667 0.3333 0.8080 x1